Entry 1:
The following is a theoretical XRD peak list of Tl4MoAu. It was derived from a cell relaxed with PBE, using copper Kα.
Neutral-atom scattering factors, no anomalous dispersion.

The 8 most intense peaks (2θ from 10° to 90°), by angle:
2θ = 17.47°, d 5.077, rel. 177
2θ = 28.71°, d 3.109, rel. 179
2θ = 33.80°, d 2.652, rel. 1000
2θ = 35.36°, d 2.539, rel. 509
2θ = 54.19°, d 1.692, rel. 353
2θ = 59.46°, d 1.555, rel. 321
2θ = 71.11°, d 1.326, rel. 207
2θ = 84.65°, d 1.145, rel. 231

Structural model:
abc: 8.794 8.794 8.794
angles: 90.00 90.00 90.00
Space group F-43m (No. 216)
Unique sites:
Tl1 0.125 0.125 0.125 x16
Mo1 0.000 0.000 0.500 x4
Au1 0.250 0.250 0.750 x4



Entry 2:
The following is a theoretical XRD peak list of LiTl3Te2. It was derived from a cell relaxed with PBE, using copper Kα.
Neutral-atom scattering factors, no anomalous dispersion.

The 8 most intense peaks (2θ from 10° to 90°), by angle:
2θ = 21.55°, d 4.124, rel. 447
2θ = 26.24°, d 3.396, rel. 448
2θ = 27.88°, d 3.200, rel. 382
2θ = 28.33°, d 3.150, rel. 431
2θ = 29.77°, d 3.001, rel. 640
2θ = 33.82°, d 2.650, rel. 641
2θ = 34.41°, d 2.606, rel. 1000
2θ = 35.14°, d 2.554, rel. 713

Structural model:
abc: 7.663 14.679 7.111
angles: 90.00 90.00 90.00
Space group Ibam (No. 72)
Unique sites:
Li1 0.000 0.000 0.250 x4
Tl1 0.000 0.500 0.250 x4
Tl2 0.233 0.163 0.000 x8
Te1 0.192 0.118 0.500 x8



Entry 3:
The following is a theoretical XRD peak list of Tm7PdSe5. It was derived from a cell relaxed with PBE, using copper Kα.
Neutral-atom scattering factors, no anomalous dispersion.

The 8 most intense peaks (2θ from 10° to 90°), by angle:
2θ = 28.03°, d 3.184, rel. 309
2θ = 29.25°, d 3.054, rel. 753
2θ = 30.81°, d 2.902, rel. 305
2θ = 31.49°, d 2.841, rel. 900
2θ = 32.62°, d 2.745, rel. 1000
2θ = 41.38°, d 2.182, rel. 397
2θ = 45.56°, d 1.991, rel. 282
2θ = 46.36°, d 1.959, rel. 347

Structural model:
abc: 3.917 13.171 24.126
angles: 90.00 90.00 90.00
Space group Cmcm (No. 63)
Unique sites:
Tm1 0.000 0.040 0.250 x4
Tm2 0.000 0.139 0.538 x8
Tm3 0.000 0.298 0.181 x8
Tm4 0.000 0.408 0.619 x8
Pd1 0.000 0.305 0.750 x4
Se1 0.000 0.056 0.643 x8
Se2 0.000 0.220 0.071 x8
Se3 0.000 0.500 0.000 x4